For Ca3Cd5P8O28, a structure optimized by DFT (GGA-PBE) gives the simulated XRD peak list in this record (Cu Kα (λ = 1.5418 Å)).
Peak positions follow from Bragg's law for the DFT cell and can differ from measured ones.

Most intense lines, 2θ from 15° to 90°, low angle first:
- 2θ = 19.67°, rel. 44
- 2θ = 26.66°, rel. 58
- 2θ = 28.60°, rel. 68
- 2θ = 28.99°, rel. 100
- 2θ = 30.36°, rel. 79
- 2θ = 30.57°, rel. 78
- 2θ = 33.23°, rel. 34
- 2θ = 37.69°, rel. 25
- 2θ = 40.43°, rel. 41
- 2θ = 41.94°, rel. 24

Crystal structure
Unit cell a=6.7571 b=6.7581 c=13.4195 alpha=87.16 beta=84.11 gamma=65.75
Element x y z (fractional)
1 Ca 0.0000 0.0000 0.0000
2 Ca 0.0005 0.9995 0.5004
3 Ca 0.5273 0.3744 0.3777
4 Cd 0.1531 0.4277 0.1144
5 Cd 0.1527 0.4279 0.6148
6 Cd 0.3750 0.9462 0.2635
7 Cd 0.3751 0.9463 0.7641
8 Cd 0.5299 0.3732 0.8777
9 P 0.0257 0.4562 0.3653
10 P 0.0259 0.4561 0.8647
11 P 0.5012 0.9188 0.0127
12 P 0.5018 0.9178 0.5131
13 P 0.6293 0.4960 0.6238
14 P 0.6294 0.4976 0.1228
15 P 0.8986 0.8768 0.2549
16 P 0.8987 0.8773 0.7551
17 O 0.0042 0.7964 0.6492
18 O 0.0047 0.7961 0.1491
19 O 0.0467 0.9301 0.3171
20 O 0.0470 0.9303 0.8172
21 O 0.1355 0.5220 0.4451
22 O 0.1367 0.5212 0.9447
23 O 0.2086 0.3267 0.7832
24 O 0.2099 0.3273 0.2841
25 O 0.3177 0.0470 0.0943
26 O 0.3176 0.0469 0.5942
27 O 0.3913 0.8536 0.9331
28 O 0.3924 0.8519 0.4332
29 O 0.4804 0.4441 0.0609
30 O 0.4809 0.4441 0.5614
31 O 0.5226 0.5770 0.7303
32 O 0.5229 0.5777 0.2287
33 O 0.6452 0.0331 0.4723
34 O 0.6458 0.0337 0.9722
35 O 0.6634 0.7037 0.5681
36 O 0.6642 0.7046 0.0670
37 O 0.6653 0.0520 0.2564
38 O 0.6649 0.0523 0.7561
39 O 0.8625 0.3223 0.1218
40 O 0.8627 0.3217 0.6219
41 O 0.8634 0.6702 0.3110
42 O 0.8634 0.6706 0.8109
43 O 0.8825 0.3408 0.4060
44 O 0.8820 0.3411 0.9063

---

For Ba3TaOF9, a structure optimized by DFT (GGA-PBE) gives the simulated XRD peak list in this record (Cu Kα (λ = 1.5418 Å)).
Peak positions follow from Bragg's law for the DFT cell and can differ from measured ones.

Most intense lines, 2θ from 15° to 90°, low angle first:
- 2θ = 19.58°, rel. 17
- 2θ = 20.01°, rel. 46
- 2θ = 22.06°, rel. 25
- 2θ = 25.70°, rel. 100
- 2θ = 28.05°, rel. 43
- 2θ = 38.77°, rel. 25
- 2θ = 40.09°, rel. 34
- 2θ = 47.95°, rel. 13
- 2θ = 48.23°, rel. 38
- 2θ = 64.23°, rel. 12

Crystal structure
Unit cell a=13.9669 b=13.9669 c=6.3634 alpha=90.00 beta=90.00 gamma=153.68
Element x y z (fractional)
1 Ba 0.0454 0.9546 0.7500
2 Ba 0.1817 0.8183 0.2500
3 Ba 0.4525 0.5475 0.7500
4 Ba 0.5475 0.4525 0.2500
5 Ba 0.8183 0.1817 0.7500
6 Ba 0.9546 0.0454 0.2500
7 Ta 0.3376 0.6624 0.2500
8 Ta 0.6624 0.3376 0.7500
9 O 0.2559 0.2559 0.0000
10 O 0.7441 0.7441 0.5000
11 F 0.0934 0.9066 0.2500
12 F 0.1216 0.4465 0.0346
13 F 0.1459 0.4255 0.4625
14 F 0.1469 0.5906 0.3852
15 F 0.2521 0.2521 0.5000
16 F 0.4094 0.8531 0.1148
17 F 0.4096 0.5904 0.2500
18 F 0.4255 0.1459 0.5375
19 F 0.4465 0.1216 0.9654
20 F 0.5535 0.8784 0.4654
21 F 0.5745 0.8541 0.0375
22 F 0.5904 0.4096 0.7500
23 F 0.5906 0.1469 0.6148
24 F 0.7479 0.7479 0.0000
25 F 0.8531 0.4094 0.8852
26 F 0.8541 0.5745 0.9625
27 F 0.8784 0.5535 0.5346
28 F 0.9066 0.0934 0.7500